Entry 1:
# Mg5Zn6
Computed powder diffraction line list, Cu Kα. Input: a DFT-relaxed cell (GGA-PBE, Alexandria).
Lines closer than 0.1° are merged.

Largest 10 diffraction maxima, most intense first, 2θ from 5° to 70°:
two_theta  I_rel
40.02  100
36.59  75
29.41  53
40.90  50
45.58  42
18.47  35
38.25  31
25.42  28
51.17  22
41.78  21

Structure:
```
Mg5Zn6
1.0
2.2063 -14.4108 0.0000
2.2063 14.4108 0.0000
0.0000 0.0000 3.1073
Mg Zn
5 6
direct
0.0000 0.0000 0.0000 Mg
0.1892 0.8108 0.5000 Mg
0.3729 0.6271 0.0000 Mg
0.6271 0.3729 0.0000 Mg
0.8108 0.1892 0.5000 Mg
0.0903 0.9097 0.5000 Zn
0.2748 0.7252 0.0000 Zn
0.4564 0.5436 0.5000 Zn
0.5436 0.4564 0.5000 Zn
0.7252 0.2748 0.0000 Zn
0.9097 0.0903 0.5000 Zn
```

Entry 2:
# Ba4In2O7
Computed powder diffraction line list, Cu Kα. Input: a DFT-relaxed cell (GGA-PBE, Alexandria).
Lines closer than 0.1° are merged.

Largest 10 diffraction maxima, most intense first, 2θ from 5° to 70°:
two_theta  I_rel
30.42  100
29.98  81
42.91  41
53.50  41
26.23  34
12.34  20
35.30  17
48.84  17
50.97  15
39.31  13

Structure:
```
Ba4In2O7
1.0
-2.1079 2.1079 14.3418
2.1079 -2.1079 14.3418
2.1079 2.1079 -14.3418
Ba In O
4 2 7
direct
0.0000 0.0000 0.0000 Ba
0.1223 0.1223 0.0000 Ba
0.2517 0.2517 0.0000 Ba
0.8504 0.8504 0.0000 Ba
0.4253 0.4253 0.0000 In
0.6835 0.6835 0.0000 In
0.1853 0.6853 0.5000 O
0.3529 0.3529 0.0000 O
0.4478 0.9478 0.5000 O
0.5992 0.5992 0.0000 O
0.6853 0.1853 0.5000 O
0.7671 0.7671 0.0000 O
0.9478 0.4478 0.5000 O
```

Entry 3:
# Ba3HfS5
Computed powder diffraction line list, Cu Kα. Input: a DFT-relaxed cell (GGA-PBE, Alexandria).
Lines closer than 0.1° are merged.

Largest 10 diffraction maxima, most intense first, 2θ from 5° to 70°:
two_theta  I_rel
24.13  100
29.76  73
24.59  40
29.47  36
38.75  30
43.01  28
44.06  28
24.02  26
54.15  22
47.43  22

Structure:
```
Ba3HfS5
1.0
-4.2857 4.2857 7.2398
4.2857 -4.2857 7.2398
4.2857 4.2857 -7.2398
Ba Hf S
6 2 10
direct
0.1635 0.6635 0.8270 Ba
0.2500 0.2500 0.0000 Ba
0.3365 0.1635 0.5000 Ba
0.6635 0.8365 0.5000 Ba
0.7500 0.7500 0.0000 Ba
0.8365 0.3365 0.1730 Ba
0.2500 0.7500 0.5000 Hf
0.7500 0.2500 0.5000 Hf
0.0000 0.0000 0.0000 S
0.0042 0.1968 0.5000 S
0.1968 0.6968 0.1925 S
0.3032 0.4958 0.5000 S
0.4958 0.9958 0.1925 S
0.5000 0.5000 0.0000 S
0.5042 0.0042 0.8075 S
0.6968 0.5042 0.5000 S
0.8032 0.3032 0.8075 S
0.9958 0.8032 0.5000 S
```

Entry 4:
# Tm11Tl9Ga4
Computed powder diffraction line list, Cu Kα. Input: a DFT-relaxed cell (GGA-PBE, Alexandria).
Lines closer than 0.1° are merged.

Largest 10 diffraction maxima, most intense first, 2θ from 5° to 70°:
two_theta  I_rel
34.60  100
34.13  94
34.37  93
61.13  45
48.71  27
31.92  23
30.44  19
32.57  18
61.54  15
31.37  15

Structure:
```
Tm11Tl9Ga4
1.0
7.2864 -11.0748 0.0000
7.2864 11.0748 0.0000
0.0000 0.0000 3.7385
Tm Tl Ga
11 9 4
direct
0.0000 0.0000 0.0000 Tm
0.0699 0.4123 0.0000 Tm
0.1647 0.8353 0.0000 Tm
0.3007 0.3007 0.0000 Tm
0.3683 0.6317 0.0000 Tm
0.4123 0.0699 0.0000 Tm
0.5877 0.9301 0.0000 Tm
0.6317 0.3683 0.0000 Tm
0.6993 0.6993 0.0000 Tm
0.8353 0.1647 0.0000 Tm
0.9301 0.5877 0.0000 Tm
0.0586 0.2118 0.5000 Tl
0.1474 0.6291 0.5000 Tl
0.2118 0.0586 0.5000 Tl
0.3709 0.8526 0.5000 Tl
0.5000 0.5000 0.5000 Tl
0.6291 0.1474 0.5000 Tl
0.7882 0.9414 0.5000 Tl
0.8526 0.3709 0.5000 Tl
0.9414 0.7882 0.5000 Tl
0.2508 0.4487 0.5000 Ga
0.4487 0.2508 0.5000 Ga
0.5513 0.7492 0.5000 Ga
0.7492 0.5513 0.5000 Ga
```

Entry 5:
# La4YTl
Computed powder diffraction line list, Cu Kα. Input: a DFT-relaxed cell (GGA-PBE, Alexandria).
Lines closer than 0.1° are merged.

Largest 10 diffraction maxima, most intense first, 2θ from 5° to 70°:
two_theta  I_rel
32.15  100
30.56  57
32.83  46
29.78  30
29.41  30
29.23  28
50.14  25
59.46  19
37.32  18
36.56  17

Structure:
```
La4YTl
1.0
5.3897 -3.1653 0.0000
5.3897 3.1653 0.0000
-3.9244 0.0000 11.6992
La Y Tl
8 2 2
direct
0.1498 0.7007 0.5107 La
0.2566 0.3952 0.7514 La
0.2993 0.8502 0.9893 La
0.3952 0.2566 0.2514 La
0.6048 0.7434 0.7486 La
0.7007 0.1498 0.0107 La
0.7434 0.6048 0.2486 La
0.8502 0.2993 0.4893 La
0.0000 0.5000 0.0000 Y
0.5000 0.0000 0.5000 Y
0.0960 0.9040 0.2500 Tl
0.9040 0.0960 0.7500 Tl
```

Entry 6:
# CePrIn
Computed powder diffraction line list, Cu Kα. Input: a DFT-relaxed cell (GGA-PBE, Alexandria).
Lines closer than 0.1° are merged.

Largest 10 diffraction maxima, most intense first, 2θ from 5° to 70°:
two_theta  I_rel
32.09  100
32.26  90
57.31  34
46.14  33
64.31  26
57.21  19
67.12  12
41.95  9
54.10  7
26.29  5

Structure:
```
CePrIn
1.0
5.5780 0.0000 0.0000
-2.7890 4.8307 0.0000
0.0000 0.0000 6.7805
Ce Pr In
2 2 2
direct
0.0000 0.0000 0.0000 Ce
0.0000 0.0000 0.5000 Ce
0.3333 0.6667 0.2500 Pr
0.6667 0.3333 0.7500 Pr
0.3333 0.6667 0.7500 In
0.6667 0.3333 0.2500 In
```

Entry 7:
# TaTl2AgS4
Computed powder diffraction line list, Cu Kα. Input: a DFT-relaxed cell (GGA-PBE, Alexandria).
Lines closer than 0.1° are merged.

Largest 10 diffraction maxima, most intense first, 2θ from 5° to 70°:
two_theta  I_rel
27.77  100
44.16  62
23.61  60
33.63  34
51.47  21
54.44  18
67.50  16
57.37  13
56.63  12
48.30  11

Structure:
```
TaTl2AgS4
1.0
7.5374 0.0000 0.0000
0.0000 7.5374 0.0000
0.0000 0.0000 8.0511
Ta Tl Ag S
2 4 2 8
direct
0.0000 0.0000 0.0000 Ta
0.5000 0.5000 0.5000 Ta
0.0000 0.0000 0.5000 Tl
0.0000 0.5000 0.2500 Tl
0.5000 0.0000 0.7500 Tl
0.5000 0.5000 0.0000 Tl
0.0000 0.5000 0.7500 Ag
0.5000 0.0000 0.2500 Ag
0.1466 0.7977 0.8375 S
0.2023 0.1466 0.1625 S
0.2977 0.3534 0.6625 S
0.3534 0.7023 0.3375 S
0.6466 0.2977 0.3375 S
0.7023 0.6466 0.6625 S
0.7977 0.8534 0.1625 S
0.8534 0.2023 0.8375 S
```

Entry 8:
# RbV2Ru
Computed powder diffraction line list, Cu Kα. Input: a DFT-relaxed cell (GGA-PBE, Alexandria).
Lines closer than 0.1° are merged.

Largest 10 diffraction maxima, most intense first, 2θ from 5° to 70°:
two_theta  I_rel
24.65  100
50.54  31
16.31  31
39.17  29
30.66  28
51.00  26
42.34  23
62.64  14
32.97  13
48.67  9

Structure:
```
RbV2Ru
1.0
5.8319 0.0000 0.0000
0.0000 5.8319 0.0000
0.0000 0.0000 14.9681
Rb V Ru
4 8 4
direct
0.0000 0.2500 0.3750 Rb
0.0000 0.7500 0.6250 Rb
0.5000 0.2500 0.1250 Rb
0.5000 0.7500 0.8750 Rb
0.0000 0.0000 0.0000 V
0.0000 0.5000 0.0000 V
0.2500 0.2500 0.7500 V
0.2500 0.7500 0.2500 V
0.5000 0.0000 0.5000 V
0.5000 0.5000 0.5000 V
0.7500 0.2500 0.7500 V
0.7500 0.7500 0.2500 V
0.0000 0.2500 0.8750 Ru
0.0000 0.7500 0.1250 Ru
0.5000 0.2500 0.6250 Ru
0.5000 0.7500 0.3750 Ru
```

Entry 9:
# FeTcSb2
Computed powder diffraction line list, Cu Kα. Input: a DFT-relaxed cell (GGA-PBE, Alexandria).
Lines closer than 0.1° are merged.

Largest 10 diffraction maxima, most intense first, 2θ from 5° to 70°:
two_theta  I_rel
34.57  100
43.56  46
40.81  36
38.23  35
42.11  30
57.15  21
36.62  20
27.14  16
54.12  15
69.95  14

Structure:
```
FeTcSb2
1.0
4.4223 0.0000 0.0000
0.0000 3.3890 0.0000
0.0000 0.0000 9.8161
Fe Tc Sb
2 2 4
direct
0.0000 0.0000 0.0000 Fe
0.0000 0.5000 0.5000 Fe
0.5000 0.0000 0.1475 Tc
0.5000 0.5000 0.6475 Tc
0.0000 0.0000 0.7209 Sb
0.0000 0.5000 0.2209 Sb
0.5000 0.0000 0.4296 Sb
0.5000 0.5000 0.9296 Sb
```

Entry 10:
# TmSiNi4
Computed powder diffraction line list, Cu Kα. Input: a DFT-relaxed cell (GGA-PBE, Alexandria).
Lines closer than 0.1° are merged.

Largest 10 diffraction maxima, most intense first, 2θ from 5° to 70°:
two_theta  I_rel
38.44  100
39.68  78
45.72  58
31.27  43
51.14  35
40.76  33
41.86  32
35.74  24
30.37  22
18.59  21

Structure:
```
TmSiNi4
1.0
7.0678 0.0000 0.0000
0.0000 3.5722 0.0000
0.0000 0.0000 6.4735
Tm Si Ni
2 2 8
direct
0.2500 0.0000 0.1368 Tm
0.7500 0.0000 0.8632 Tm
0.2500 0.0000 0.7066 Si
0.7500 0.0000 0.2934 Si
0.0000 0.0000 0.5000 Ni
0.0585 0.5000 0.7948 Ni
0.2500 0.5000 0.4597 Ni
0.4415 0.5000 0.7948 Ni
0.5000 0.0000 0.5000 Ni
0.5585 0.5000 0.2052 Ni
0.7500 0.5000 0.5403 Ni
0.9415 0.5000 0.2052 Ni
```

Entry 11:
# Ba5ZrN4F2
Computed powder diffraction line list, Cu Kα. Input: a DFT-relaxed cell (GGA-PBE, Alexandria).
Lines closer than 0.1° are merged.

Largest 10 diffraction maxima, most intense first, 2θ from 5° to 70°:
two_theta  I_rel
28.43  100
27.67  77
39.62  54
27.47  45
27.99  42
50.26  30
49.16  23
54.85  21
48.69  15
65.57  15

Structure:
```
Ba5ZrN4F2
1.0
7.9126 0.0000 0.0000
0.0000 5.3807 3.2470
0.0000 -5.3807 3.2470
Ba Zr N F
5 1 4 2
direct
0.0000 0.0000 0.0000 Ba
0.2791 0.3090 0.6691 Ba
0.2791 0.6691 0.3090 Ba
0.7209 0.3090 0.6691 Ba
0.7209 0.6691 0.3090 Ba
0.5000 0.0118 0.0118 Zr
0.2821 0.2040 0.2040 N
0.5000 0.6594 0.9795 N
0.5000 0.9795 0.6594 N
0.7179 0.2040 0.2040 N
0.0000 0.5564 0.9724 F
0.0000 0.9724 0.5564 F
```

Entry 12:
# Rb7Tl2O2
Computed powder diffraction line list, Cu Kα. Input: a DFT-relaxed cell (GGA-PBE, Alexandria).
Lines closer than 0.1° are merged.

Largest 10 diffraction maxima, most intense first, 2θ from 5° to 70°:
two_theta  I_rel
25.51  100
27.30  73
33.61  60
25.05  60
17.30  54
27.74  46
47.19  45
31.76  41
35.03  33
52.41  32

Structure:
```
Rb7Tl2O2
1.0
6.5330 -4.1294 0.0000
6.5330 4.1294 0.0000
-0.0045 0.0000 8.2618
Rb Tl O
7 2 2
direct
0.0000 0.0000 0.0000 Rb
0.0003 0.5003 0.2143 Rb
0.9997 0.4997 0.7857 Rb
0.5003 0.0003 0.2143 Rb
0.4997 0.9997 0.7857 Rb
0.5004 0.5004 0.2007 Rb
0.4996 0.4996 0.7993 Rb
0.1688 0.8312 0.5000 Tl
0.8312 0.1688 0.5000 Tl
0.3227 0.3227 0.9999 O
0.6773 0.6773 0.0001 O
```